For Nd2Ga8Co, a structure optimized by DFT (GGA-PBE) gives the simulated powder XRD pattern in this record (Cu Kα, 1.54184 Å).

Crystal structure
```
data_Nd2Ga8Co
_chemical_formula_sum 'Nd2 Ga8 Co1'
_space_group_name_H-M_alt 'P 4/m m m'
_space_group_IT_number 123
_space_group_name_Hall '-P 4 2'
_cell_length_a 4.312
_cell_length_b 4.312
_cell_length_c 11.371
_cell_angle_alpha 90.00
_cell_angle_beta 90.00
_cell_angle_gamma 90.00
loop_
_atom_site_label
_atom_site_fract_x
_atom_site_fract_y
_atom_site_fract_z
_atom_site_occupancy
Nd1 0.000 0.000 0.196 1
Ga1 0.000 0.500 0.000 1
Ga2 0.000 0.500 0.388 1
Ga3 0.500 0.500 0.195 1
Co1 0.000 0.000 0.500 1
```

Most intense lines, 10 to 90 degrees two-theta, by angle:
Position (°2θ), I (rel.), hkl
20.60, 182, 1 0 0
33.34, 570, 1 1 2
37.87, 1000, 1 1 3
39.63, 250, 0 0 5
41.90, 603, 2 0 0
59.04, 305, 2 0 5
60.75, 195, 2 2 0
73.51, 130, 1 1 8
73.86, 265, 3 1 3
75.00, 148, 2 2 5

For Ho2BeZnRh2, a structure optimized by DFT (GGA-PBE) gives the simulated powder XRD pattern in this record (Cu Kα, 1.54184 Å).

Crystal structure
```
data_Ho2BeZnRh2
_chemical_formula_sum 'Ho8 Be4 Zn4 Rh8'
_space_group_name_H-M_alt 'I b a m'
_space_group_IT_number 72
_space_group_name_Hall '-I 2 2c'
_cell_length_a 5.724
_cell_length_b 13.504
_cell_length_c 5.582
_cell_angle_alpha 90.00
_cell_angle_beta 90.00
_cell_angle_gamma 90.00
loop_
_atom_site_label
_atom_site_fract_x
_atom_site_fract_y
_atom_site_fract_z
_atom_site_occupancy
Ho1 0.227 0.169 0.000 1
Be1 0.000 0.500 0.250 1
Zn1 0.000 0.000 0.250 1
Rh1 0.203 0.389 0.000 1
```

Most intense lines, 10 to 90 degrees two-theta, by angle:
Position (°2θ), I (rel.), hkl
26.40, 242, 0 4 0
31.25, 371, 2 0 0
32.07, 436, 0 0 2
34.02, 158, 2 2 0
34.79, 1000, 1 4 1
41.36, 299, 2 4 0
42.00, 349, 0 4 2
45.39, 502, 2 0 2
58.93, 186, 1 4 3
59.44, 211, 1 8 1

For La3ErPt8, a structure optimized by DFT (GGA-PBE) gives the simulated powder XRD pattern in this record (Cu Kα, 1.54184 Å).

Crystal structure
```
data_La3ErPt8
_chemical_formula_sum 'La9 Er3 Pt24'
_space_group_name_H-M_alt 'R 3 m'
_space_group_IT_number 160
_space_group_name_Hall 'R 3 -2"'
_cell_length_a 5.5225
_cell_length_b 5.5225
_cell_length_c 27.0621
_cell_angle_alpha 90.00
_cell_angle_beta 90.00
_cell_angle_gamma 120.00
loop_
_atom_site_label
_atom_site_fract_x
_atom_site_fract_y
_atom_site_fract_z
_atom_site_occupancy
La1 0.0000 0.0000 0.0000 1
La2 0.0000 0.0000 0.1259 1
La3 0.0000 0.0000 0.5015 1
Er1 0.0000 0.0000 0.6259 1
Pt1 0.0000 0.0000 0.3129 1
Pt2 0.0000 0.0000 0.8131 1
Pt3 0.0007 0.5003 0.5644 1
Pt4 0.1677 0.3354 0.3952 1
```

Most intense lines, 10 to 90 degrees two-theta, by angle:
Position (°2θ), I (rel.), hkl
19.69, 161, 0 1 2
32.42, 187, 1 1 0
38.22, 1000, 1 1 6
39.99, 502, 0 0 12
46.51, 97, 2 0 8
57.83, 72, 1 0 16
61.71, 331, 3 0 6
67.88, 302, 2 2 0
80.66, 117, 1 0 22
81.79, 195, 2 2 12